Starting from a structure optimized by DFT (GGA-PBE), the X-ray diffraction stick pattern of Tb19Dy4Sc6 was calculated for λ = 1.5418 Å (Cu Kα).

Atomic structure:
abc: 10.640 10.640 10.640
angles: 109.47 109.47 109.47
Sites, in units of the cell vectors:
Tb 0.000 0.000 0.000
Tb 0.000 0.265 0.265
Tb 0.000 0.735 0.735
Tb 0.008 0.784 0.340
Tb 0.216 0.225 0.557
Tb 0.225 0.557 0.216
Tb 0.265 0.000 0.265
Tb 0.265 0.265 0.000
Tb 0.332 0.775 0.992
Tb 0.340 0.008 0.784
Tb 0.443 0.668 0.660
Tb 0.557 0.216 0.225
Tb 0.660 0.443 0.668
Tb 0.668 0.660 0.443
Tb 0.735 0.000 0.735
Tb 0.735 0.735 0.000
Tb 0.775 0.992 0.332
Tb 0.784 0.340 0.008
Tb 0.992 0.332 0.775
Dy 0.000 0.000 0.641
Dy 0.000 0.641 0.000
Dy 0.359 0.359 0.359
Dy 0.641 0.000 0.000
Sc 0.116 0.616 0.500
Sc 0.384 0.500 0.884
Sc 0.500 0.116 0.616
Sc 0.500 0.884 0.384
Sc 0.616 0.500 0.116
Sc 0.884 0.384 0.500

Top 12 peaks for 15 to 90 degrees two-theta, in order of rising 2θ:
| d (Å) | Position (°2θ) | I (rel.) |
| --- | --- | --- |
| 3.284 | 27.2 | 18 |
| 3.072 | 29.1 | 37 |
| 2.896 | 30.9 | 100 |
| 2.619 | 34.2 | 15 |
| 2.508 | 35.8 | 17 |
| 2.410 | 37.3 | 32 |
| 2.172 | 41.6 | 14 |
| 2.107 | 42.9 | 15 |
| 1.738 | 52.7 | 15 |
| 1.672 | 54.9 | 23 |
| 1.512 | 61.3 | 19 |
| 1.490 | 62.3 | 11 |


Starting from a structure optimized by DFT (GGA-PBE), the X-ray diffraction stick pattern of Tb9Dy2Sc was calculated for λ = 1.5418 Å (Cu Kα).

Atomic structure:
abc: 5.002 5.002 14.970
angles: 90.00 90.00 90.00
Sites, in units of the cell vectors:
Tb 0.000 0.000 0.000
Tb 0.000 0.000 0.331
Tb 0.000 0.000 0.669
Tb 0.000 0.500 0.162
Tb 0.000 0.500 0.500
Tb 0.000 0.500 0.838
Tb 0.500 0.000 0.162
Tb 0.500 0.000 0.500
Tb 0.500 0.000 0.838
Dy 0.500 0.500 0.331
Dy 0.500 0.500 0.669
Sc 0.500 0.500 0.000

Top 12 peaks for 15 to 90 degrees two-theta, in order of rising 2θ:
| d (Å) | Position (°2θ) | I (rel.) |
| --- | --- | --- |
| 2.886 | 31.0 | 100 |
| 2.499 | 35.9 | 50 |
| 1.767 | 51.7 | 36 |
| 1.508 | 61.5 | 28 |
| 1.505 | 61.6 | 14 |
| 1.443 | 64.6 | 12 |
| 1.251 | 76.1 | 4 |
| 1.247 | 76.3 | 2 |
| 1.147 | 84.4 | 6 |
| 1.146 | 84.5 | 11 |
| 1.118 | 87.2 | 11 |
| 1.116 | 87.4 | 5 |


Starting from a structure optimized by DFT (GGA-PBE), the X-ray diffraction stick pattern of Tb7Dy3Sc was calculated for λ = 1.5418 Å (Cu Kα).

Atomic structure:
abc: 9.748 9.748 6.540
angles: 100.76 100.76 138.45
Sites, in units of the cell vectors:
Tb 0.000 0.000 0.000
Tb 0.060 0.380 0.444
Tb 0.380 0.060 0.444
Tb 0.414 0.586 0.000
Tb 0.586 0.414 0.000
Tb 0.620 0.940 0.556
Tb 0.940 0.620 0.556
Dy 0.000 0.500 0.000
Dy 0.500 0.000 0.000
Dy 0.500 0.500 0.500
Sc 0.000 0.000 0.500

Top 12 peaks for 15 to 90 degrees two-theta, in order of rising 2θ:
| d (Å) | Position (°2θ) | I (rel.) |
| --- | --- | --- |
| 3.525 | 25.3 | 17 |
| 3.458 | 25.8 | 12 |
| 3.097 | 28.8 | 27 |
| 2.879 | 31.1 | 23 |
| 2.795 | 32.0 | 100 |
| 2.781 | 32.2 | 46 |
| 2.755 | 32.5 | 36 |
| 2.666 | 33.6 | 59 |
| 2.380 | 37.8 | 14 |
| 1.729 | 53.0 | 14 |
| 1.550 | 59.7 | 15 |
| 1.548 | 59.7 | 13 |


Starting from a structure optimized by DFT (GGA-PBE), the X-ray diffraction stick pattern of TbDy6Sc4 was calculated for λ = 1.5418 Å (Cu Kα).

Atomic structure:
abc: 8.660 8.660 5.239
angles: 90.00 90.00 120.00
Sites, in units of the cell vectors:
Tb 0.000 0.000 0.000
Dy 0.199 0.399 0.500
Dy 0.199 0.801 0.500
Dy 0.533 0.066 0.000
Dy 0.533 0.467 0.000
Dy 0.601 0.801 0.500
Dy 0.934 0.467 0.000
Sc 0.333 0.667 0.000
Sc 0.427 0.214 0.500
Sc 0.786 0.214 0.500
Sc 0.786 0.573 0.500

Top 12 peaks for 15 to 90 degrees two-theta, in order of rising 2θ:
| d (Å) | Position (°2θ) | I (rel.) |
| --- | --- | --- |
| 4.295 | 20.7 | 17 |
| 3.750 | 23.7 | 15 |
| 3.049 | 29.3 | 100 |
| 2.835 | 31.6 | 22 |
| 2.619 | 34.2 | 26 |
| 2.500 | 35.9 | 16 |
| 2.493 | 36.0 | 27 |
| 2.165 | 41.7 | 15 |
| 1.924 | 47.2 | 14 |
| 1.635 | 56.3 | 20 |
| 1.583 | 58.3 | 14 |
| 1.442 | 64.6 | 15 |